For Sr3NdFe2O8, a crystal structure in Alexandria, relaxed with PBE+U gives the theoretical powder X-ray diffraction pattern in this record (Cu Kα).
Lines closer than 0.1° are merged.

Main lines, most intense first (2θ = 5–70°):
- d 2.858, I 100, (1 1 3)
- d 2.747, I 71, (2 0 0)
- d 1.942, I 39, (2 2 0)
- d 1.606, I 37, (3 1 3)
- d 2.074, I 27, (2 0 4)
- d 1.673, I 16, (2 0 6)
- d 1.429, I 15, (2 2 6)
- d 2.110, I 15, (0 0 6)

```
data_Sr3NdFe2O8
_chemical_formula_sum 'Sr6 Nd2 Fe4 O16'
_symmetry_space_group_name_H-M 'A m m 2'
_symmetry_Int_Tables_number 38
_cell_length_a 5.498
_cell_length_b 5.488
_cell_length_c 12.658
_cell_angle_alpha 90.00
_cell_angle_beta 90.00
_cell_angle_gamma 90.00
loop_
_symmetry_equiv_pos_as_xyz
'x,y,z'
'-x,-y,z'
'-x,y,z'
'x,-y,z'
'x,y+1/2,z+1/2'
'-x,-y+1/2,z+1/2'
'-x,y+1/2,z+1/2'
'x,-y+1/2,z+1/2'
loop_
_atom_site_label
_atom_site_type_symbol
_atom_site_fract_x
_atom_site_fract_y
_atom_site_fract_z
_atom_site_occupancy
Sr1 Sr 0.000 0.000 0.000 1
Sr2 Sr 0.000 0.000 0.289 1
Sr3 Sr 0.500 0.000 0.790 1
Nd1 Nd 0.500 0.000 0.506 1
Fe1 Fe 0.000 0.000 0.647 1
Fe2 Fe 0.500 0.000 0.144 1
O1 O 0.000 0.000 0.484 1
O2 O 0.000 0.000 0.804 1
O3 O 0.257 0.248 0.642 1
O4 O 0.500 0.000 0.322 1
O5 O 0.500 0.000 0.981 1
```